Computed powder X-ray diffraction pattern of PmAuSO for Cu Kα X-rays, from a structure optimized by DFT (PBE).
Neutral-atom scattering factors, no anomalous dispersion.

Crystal structure
```
data_PmAuSO
_cell_length_a 9.0709
_cell_length_b 5.7326
_cell_length_c 5.7365
_cell_angle_alpha 90.00
_cell_angle_beta 90.00
_cell_angle_gamma 90.00
_symmetry_space_group_name_H-M 'A e m 2'
_symmetry_Int_Tables_number 39
loop_
_symmetry_equiv_pos_as_xyz
'x,y,z'
'-x,-y,z'
'-x,y+1/2,z'
'x,-y+1/2,z'
'x,y+1/2,z+1/2'
'-x,-y+1/2,z+1/2'
'-x,y,z+1/2'
'x,-y,z+1/2'
loop_
_atom_site_label
_atom_site_fract_x
_atom_site_fract_y
_atom_site_fract_z
Pm1 0.1280 0.2500 0.0000
Au1 0.5000 0.0000 0.0009
S1 0.2877 0.2500 0.5008
O1 0.0000 0.0000 0.2500
```

Peak list (8 most intense, 10 to 90 degrees two-theta, most intense first)
2θ = 29.55°, rel. 100; 2θ = 32.76°, rel. 78; 2θ = 37.10°, rel. 70; 2θ = 45.86°, rel. 66; 2θ = 31.18°, rel. 65; 2θ = 19.57°, rel. 48; 2θ = 43.49°, rel. 40; 2θ = 51.38°, rel. 35

Computed powder X-ray diffraction pattern of Pr2Au2O5 for Cu Kα X-rays, from a structure optimized by DFT (PBE).
Neutral-atom scattering factors, no anomalous dispersion.

Crystal structure
```
data_Pr2Au2O5
_cell_length_a 4.2080
_cell_length_b 4.2080
_cell_length_c 7.1496
_cell_angle_alpha 90.00
_cell_angle_beta 90.00
_cell_angle_gamma 90.00
_symmetry_space_group_name_H-M 'P 4/m m m'
_symmetry_Int_Tables_number 123
_symmetry_space_group_name_Hall '-P 4 2'
loop_
_atom_site_label
_atom_site_fract_x
_atom_site_fract_y
_atom_site_fract_z
Pr1 0.0000 0.0000 0.0000
Pr2 0.0000 0.0000 0.5000
Au1 0.5000 0.5000 0.1929
O1 0.0000 0.5000 0.2277
O2 0.5000 0.5000 0.5000
```

Peak list (8 most intense, 10 to 90 degrees two-theta, most intense first)
2θ = 32.87°, rel. 100; 2θ = 30.03°, rel. 78; 2θ = 55.16°, rel. 47; 2θ = 42.99°, rel. 43; 2θ = 43.65°, rel. 19; 2θ = 70.81°, rel. 14; 2θ = 62.42°, rel. 14; 2θ = 88.03°, rel. 13